For Tb2Pm3Sb3, a structure optimized by DFT (GGA-PBE) gives the calculated powder diffractogram in this record (Cu Ka).
Kinematic intensities with the Lorentz-polarization factor, no thermal factor.

Atomic structure:
a b c (Å): 9.1547 9.1547 6.4332
angles (deg): 90.00 90.00 120.00
Space group P6_3/mcm (No. 193)
Symmetry-distinct sites (fractional):
Tb: 0.3333 0.6667 0.0000
Pm: 0.0000 0.2482 0.2500
Sb: 0.0000 0.3911 0.7500

Most intense lines, 2θ from 10° to 80°, by angle:
2θ (°), Rel. int., index
29.8, 34, 2 1 0
33.0, 100, 2 1 1
33.9, 55, 3 0 0
34.1, 89, 1 1 2
48.8, 23, 2 2 2
52.5, 27, 2 1 3